Starting from the GGA+U geometry in Alexandria, the powder X-ray diffraction pattern of UCu4Mo2O16 was calculated for Cu Kα.
Kinematic intensities with the Lorentz-polarization factor, no thermal factor.

Peak list (6 most intense, 10 to 80 degrees two-theta, sorted by position)
| d_spacing | 2theta | intensity |
| --- | --- | --- |
| 5.402 | 16.41 | 100 |
| 4.602 | 19.29 | 50 |
| 4.492 | 19.77 | 48 |
| 3.942 | 22.55 | 81 |
| 3.603 | 24.71 | 81 |
| 3.503 | 25.42 | 66 |

Atomic structure:
```
data_UCu4Mo2O16
_chemical_formula_sum 'U1 Cu4 Mo2 O16'
_cell_length_a 11.2955
_cell_length_b 11.2955
_cell_length_c 5.2761
_cell_angle_alpha 97.03
_cell_angle_beta 97.03
_cell_angle_gamma 30.72
_symmetry_space_group_name_H-M 'P 1'
_symmetry_Int_Tables_number 1
loop_
_symmetry_equiv_pos_as_xyz
'x,y,z'
loop_
_atom_site_label
_atom_site_fract_x
_atom_site_fract_y
_atom_site_fract_z
U1 0.0000 0.0000 0.0000
Cu1 0.0000 0.5000 0.0000
Cu2 0.2523 0.2523 0.5026
Cu3 0.5000 0.0000 0.0000
Cu4 0.7477 0.7477 0.4974
Mo1 0.4109 0.4109 0.3053
Mo2 0.5891 0.5891 0.6947
O1 0.0268 0.5433 0.6958
O2 0.0515 0.0515 0.2980
O3 0.1909 0.6878 0.1599
O4 0.2093 0.2093 0.8729
O5 0.3122 0.8091 0.8401
O6 0.3265 0.3265 0.2583
O7 0.4362 0.4362 0.6298
O8 0.4567 0.9732 0.3042
O9 0.5433 0.0268 0.6958
O10 0.5638 0.5638 0.3702
O11 0.6735 0.6735 0.7417
O12 0.6878 0.1909 0.1599
O13 0.7907 0.7907 0.1271
O14 0.8091 0.3122 0.8401
O15 0.9485 0.9485 0.7020
O16 0.9732 0.4567 0.3042
```